Diffraction record for Ti3S2. The powder diffraction line list is calculated, not measured: it uses the PBE geometry in Alexandria and CuKα.
Kinematic intensities with the Lorentz-polarization factor, no thermal factor.

Largest 10 diffraction maxima, sorted by position, 10° ≤ 2θ ≤ 90°:
2θ = 20.99°, rel. 12, hkl 1 0 1; 2θ = 26.37°, rel. 8, hkl 0 1 2; 2θ = 27.53°, rel. 11, hkl 0 0 3; 2θ = 33.00°, rel. 52, hkl 1 1 0; 2θ = 43.49°, rel. 100, hkl 1 1 3; 2θ = 56.83°, rel. 9, hkl 0 0 6; 2θ = 58.93°, rel. 24, hkl 3 0 0; 2θ = 67.31°, rel. 11, hkl 1 1 6; 2θ = 76.02°, rel. 17, hkl 2 2 3; 2θ = 86.38°, rel. 15, hkl 3 0 6

Structural model:
Cell: 5.4294 5.4294 9.7199 Å, 90.00 90.00 120.00°
Fractional positions:
Ti 0.0000 0.6639 0.0000
Ti 0.0027 0.6694 0.3333
Ti 0.3306 0.3333 0.3333
Ti 0.3333 0.3306 0.6667
Ti 0.3361 0.3361 0.0000
Ti 0.6639 0.0000 0.0000
Ti 0.6667 0.9973 0.3333
Ti 0.6694 0.0027 0.6667
Ti 0.9973 0.6667 0.6667
S 0.0000 0.0000 0.1680
S 0.0000 0.0000 0.8320
S 0.3333 0.6667 0.4987
S 0.3333 0.6667 0.8346
S 0.6667 0.3333 0.1654
S 0.6667 0.3333 0.5013